For Gd2Lu2In, a cell relaxed with PBE gives the computed powder diffraction line list in this record (λ = 1.5418 Å (Cu Kα)).
No peak broadening, texture or thermal motion is included.

Crystal structure
```
data_Gd2Lu2In
_symmetry_space_group_name_H-M 'P 4/m b m'
_symmetry_Int_Tables_number 127
_symmetry_space_group_name_Hall '-P 4 2ab'
_cell_length_a 8.019
_cell_length_b 8.019
_cell_length_c 4.660
_cell_angle_alpha 90.00
_cell_angle_beta 90.00
_cell_angle_gamma 90.00
loop_
_atom_site_label
_atom_site_type_symbol
_atom_site_fract_x
_atom_site_fract_y
_atom_site_fract_z
Gd1 Gd 0.153 0.347 0.000
Lu1 Lu 0.147 0.647 0.500
In1 In 0.000 0.000 0.500
```

The 8 most intense peaks (10 to 80 degrees two-theta), sorted by position:
d (Å), 2theta, intensity, index
2.842, 31.5, 100, 2 1 1
2.536, 35.4, 33, 3 1 0
2.330, 38.6, 16, 0 0 2
2.006, 45.2, 11, 4 0 0
1.794, 50.9, 13, 4 1 1
1.716, 53.4, 20, 3 1 2
1.425, 65.5, 12, 2 1 3
1.418, 65.9, 21, 5 2 1